No. 1
For Y4Te2AsP, a cell relaxed with PBE gives the simulated powder XRD pattern in this record (Cu Kα).

Principal peaks in the range 2θ from 10° to 90°, by angle:
2θ 29.9, rel. 100; 2θ 32.6, rel. 12; 2θ 42.3, rel. 33; 2θ 43.4, rel. 37; 2θ 53.7, rel. 19; 2θ 62.2, rel. 10; 2θ 69.7, rel. 11; 2θ 71.4, rel. 15

Atomic structure:
Cell: 7.213 4.168 7.478 Å, 90.00 108.80 90.00°
Space group P2/m (No. 10)
Unique sites:
Y  0.232  0.000  0.212 [2 per cell]
Y  0.256  0.500  0.785 [2 per cell]
Te  0.000  0.000  0.500 [1 per cell]
Te  0.500  0.500  0.500 [1 per cell]
As  0.500  0.000  0.000 [1 per cell]
P  0.000  0.500  0.000 [1 per cell]

***

No. 2
For Th8As5P3, a cell relaxed with PBE gives the simulated powder XRD pattern in this record (Cu Kα).

Principal peaks in the range 2θ from 10° to 90°, by angle:
2θ 25.9, rel. 62; 2θ 30.0, rel. 100; 2θ 42.9, rel. 76; 2θ 50.8, rel. 23; 2θ 53.3, rel. 20; 2θ 70.7, rel. 17; 2θ 70.8, rel. 18; 2θ 78.7, rel. 20

Atomic structure:
Cell: 8.4159 8.4159 20.6804 Å, 90.00 90.00 120.00°
Space group R-3m (No. 166, hexagonal axes)
Unique sites:
Th  0.0000  0.0000  0.2454 [6 per cell]
Th  0.0064  0.5032  0.7532 [18 per cell]
As  0.0000  0.0000  0.0000 [3 per cell]
As  0.0000  0.0000  0.5000 [3 per cell]
As  0.0000  0.5000  0.0000 [9 per cell]
P  0.0000  0.5000  0.5000 [9 per cell]

***

No. 3
For Ti4AsP, a cell relaxed with PBE gives the simulated powder XRD pattern in this record (Cu Kα).

Principal peaks in the range 2θ from 10° to 90°, by angle:
2θ 33.6, rel. 99; 2θ 34.2, rel. 99; 2θ 34.6, rel. 100; 2θ 35.9, rel. 56; 2θ 36.5, rel. 97; 2θ 49.5, rel. 62; 2θ 50.5, rel. 51; 2θ 50.6, rel. 39

Atomic structure:
Cell: 5.855 5.962 6.022 Å, 90.00 94.13 90.00°
Space group P2_1/c (No. 14)
Unique sites:
Ti  0.137  0.151  0.165 [4 per cell]
Ti  0.361  0.638  0.125 [4 per cell]
As  0.500  0.000  0.000 [2 per cell]
P  0.000  0.000  0.500 [2 per cell]